Entry 1:
Structure and simulated PXRD pattern of Nd2DyTm5Th (DFT lattice parameters and positions (GGA-PBE); λ = 1.5418 Å (Cu Kα)).

The 10 most intense peaks (2θ from 5° to 70°), in order of rising 2θ:
2θ 28.97, rel. 37; 2θ 29.17, rel. 54; 2θ 31.23, rel. 100; 2θ 32.70, rel. 14; 2θ 37.92, rel. 13; 2θ 41.14, rel. 9; 2θ 43.47, rel. 19; 2θ 47.64, rel. 11; 2θ 53.02, rel. 26; 2θ 56.83, rel. 13

Crystal structure
Unit cell a=9.7883 b=9.7883 c=9.7883 alpha=127.49 beta=127.49 gamma=77.46
Fractional positions:
1 Nd 0.1161 0.6161 0.7322
2 Nd 0.3839 0.1161 0.5000
3 Nd 0.6161 0.8839 0.5000
4 Nd 0.8839 0.3839 0.2678
5 Dy 0.2500 0.7500 0.5000
6 Dy 0.7500 0.2500 0.5000
7 Tm 0.0000 0.0000 0.0000
8 Tm 0.0738 0.1470 0.5000
9 Tm 0.1470 0.6470 0.0732
10 Tm 0.3530 0.4262 0.5000
11 Tm 0.4262 0.9262 0.0732
12 Tm 0.5000 0.5000 0.0000
13 Tm 0.5738 0.0738 0.9268
14 Tm 0.6470 0.5738 0.5000
15 Tm 0.8530 0.3530 0.9268
16 Tm 0.9262 0.8530 0.5000
17 Th 0.2500 0.2500 0.0000
18 Th 0.7500 0.7500 0.0000

---

Entry 2:
Structure and simulated PXRD pattern of Nd4Dy2TmTh (DFT lattice parameters and positions (GGA-PBE); λ = 1.5418 Å (Cu Kα)).

The 10 most intense peaks (2θ from 5° to 70°), in order of rising 2θ:
2θ 27.58, rel. 48; 2θ 29.82, rel. 46; 2θ 31.81, rel. 55; 2θ 31.97, rel. 36; 2θ 32.17, rel. 100; 2θ 45.73, rel. 18; 2θ 56.91, rel. 23; 2θ 57.11, rel. 12; 2θ 57.77, rel. 11; 2θ 60.02, rel. 15

Crystal structure
Unit cell a=6.4951 b=6.4951 c=16.7935 alpha=90.00 beta=90.00 gamma=128.67
Fractional positions:
1 Nd 0.0000 0.0000 0.0000
2 Nd 0.0000 0.0000 0.5000
3 Nd 0.2938 0.7062 0.5757
4 Nd 0.2938 0.7062 0.9243
5 Nd 0.4141 0.5859 0.7500
6 Nd 0.5859 0.4141 0.2500
7 Nd 0.7062 0.2938 0.0757
8 Nd 0.7062 0.2938 0.4243
9 Dy 0.3941 0.6059 0.1072
10 Dy 0.3941 0.6059 0.3928
11 Dy 0.6059 0.3941 0.6072
12 Dy 0.6059 0.3941 0.8928
13 Tm 0.1961 0.8039 0.2500
14 Tm 0.8039 0.1961 0.7500
15 Th 0.1107 0.8893 0.7500
16 Th 0.8893 0.1107 0.2500

---

Entry 3:
Structure and simulated PXRD pattern of Nd3Dy2Tm6Th (DFT lattice parameters and positions (GGA-PBE); λ = 1.5418 Å (Cu Kα)).

The 10 most intense peaks (2θ from 5° to 70°), in order of rising 2θ:
2θ 30.79, rel. 100; 2θ 31.05, rel. 32; 2θ 35.78, rel. 67; 2θ 51.33, rel. 24; 2θ 51.67, rel. 24; 2θ 61.07, rel. 14; 2θ 61.22, rel. 28; 2θ 61.52, rel. 14; 2θ 64.15, rel. 12; 2θ 64.74, rel. 4

Crystal structure
Unit cell a=6.1660 b=6.1660 c=11.7033 alpha=95.05 beta=95.05 gamma=120.01
Fractional positions:
1 Nd 0.0000 0.0000 0.0000
2 Nd 0.3328 0.6672 0.0000
3 Nd 0.6672 0.3328 0.0000
4 Dy 0.1668 0.8332 0.5000
5 Dy 0.8332 0.1668 0.5000
6 Tm 0.0874 0.4173 0.2534
7 Tm 0.2530 0.2530 0.7465
8 Tm 0.4173 0.0874 0.2534
9 Tm 0.5827 0.9126 0.7466
10 Tm 0.7470 0.7470 0.2535
11 Tm 0.9126 0.5827 0.7466
12 Th 0.5000 0.5000 0.5000

---

Entry 4:
Structure and simulated PXRD pattern of NdDyTm2Th (DFT lattice parameters and positions (GGA-PBE); λ = 1.5418 Å (Cu Kα)).

The 10 most intense peaks (2θ from 5° to 70°), in order of rising 2θ:
2θ 15.82, rel. 18; 2θ 20.52, rel. 16; 2θ 31.00, rel. 17; 2θ 31.70, rel. 100; 2θ 31.95, rel. 40; 2θ 32.74, rel. 20; 2θ 34.99, rel. 27; 2θ 36.56, rel. 26; 2θ 56.78, rel. 19; 2θ 61.97, rel. 20

Crystal structure
Unit cell a=3.5294 b=5.6020 c=8.6544 alpha=90.00 beta=90.00 gamma=90.00
Fractional positions:
1 Nd 0.0000 0.0000 0.0000
2 Dy 0.5000 0.0000 0.5000
3 Tm 0.0000 0.5000 0.3217
4 Tm 0.0000 0.5000 0.6783
5 Th 0.5000 0.5000 0.0000